Entry 1:
Theoretical X-ray diffraction stick pattern
Compound: LiSbP4O12
Radiation: λ = 1.5418 Å (Cu Kα)
Structure: a structure optimized by DFT (PBE)

Structural model:
a = 11.1664 Å, b = 11.1664 Å, c = 5.6893 Å
α = 102.74°, β = 102.74°, γ = 69.72°
Atoms (fractional coordinates):
Li 0.0962 0.0962 0.4396
Li 0.9038 0.9038 0.5604
Sb 0.0000 0.5000 0.0000
Sb 0.5000 0.0000 0.0000
P 0.1397 0.7033 0.8441
P 0.2036 0.4335 0.5603
P 0.2967 0.8603 0.1559
P 0.4335 0.2036 0.5603
P 0.5665 0.7964 0.4397
P 0.7033 0.1397 0.8441
P 0.7964 0.5665 0.4397
P 0.8603 0.2967 0.1559
O 0.0623 0.8066 0.6959
O 0.0738 0.6663 0.0105
O 0.1191 0.3963 0.6883
O 0.1727 0.4183 0.2861
O 0.1934 0.9377 0.3041
O 0.2113 0.5753 0.6667
O 0.2687 0.7313 0.0000
O 0.3337 0.9262 0.9895
O 0.3529 0.3529 0.6386
O 0.3963 0.1191 0.6883
O 0.4183 0.1727 0.2861
O 0.4247 0.7887 0.3333
O 0.5753 0.2113 0.6667
O 0.5817 0.8273 0.7139
O 0.6037 0.8809 0.3117
O 0.6471 0.6471 0.3614
O 0.6663 0.0738 0.0105
O 0.7313 0.2687 0.0000
O 0.7887 0.4247 0.3333
O 0.8066 0.0623 0.6959
O 0.8273 0.5817 0.7139
O 0.8809 0.6037 0.3117
O 0.9262 0.3337 0.9895
O 0.9377 0.1934 0.3041

Most intense lines, 5 to 70 degrees two-theta, low angle first:
10.02°, I = 84; 13.87°, I = 100; 16.59°, I = 32; 21.37°, I = 63; 22.21°, I = 27; 26.28°, I = 19; 32.47°, I = 30; 33.54°, I = 25



Entry 2:
Theoretical X-ray diffraction stick pattern
Compound: HoBe17Os
Radiation: λ = 1.5418 Å (Cu Kα)
Structure: a structure optimized by DFT (PBE)

Structural model:
a = 5.6252 Å, b = 5.6252 Å, c = 5.6252 Å
α = 83.13°, β = 83.13°, γ = 83.13°
Atoms (fractional coordinates):
Ho 0.0000 0.0000 0.0000
Be 0.0116 0.0116 0.4905
Be 0.0116 0.4905 0.0116
Be 0.1543 0.6622 0.6622
Be 0.3179 0.3179 0.7939
Be 0.3179 0.7939 0.3179
Be 0.3692 0.6498 0.9569
Be 0.3692 0.9569 0.6498
Be 0.4905 0.0116 0.0116
Be 0.5569 0.5569 0.5569
Be 0.6498 0.3692 0.9569
Be 0.6498 0.9569 0.3692
Be 0.6622 0.1543 0.6622
Be 0.6622 0.6622 0.1543
Be 0.7503 0.7503 0.7503
Be 0.7939 0.3179 0.3179
Be 0.9569 0.3692 0.6498
Be 0.9569 0.6498 0.3692
Os 0.3328 0.3328 0.3328

Most intense lines, 5 to 70 degrees two-theta, low angle first:
15.96°, I = 60; 21.39°, I = 34; 23.84°, I = 100; 24.62°, I = 32; 34.54°, I = 90; 41.93°, I = 30; 48.80°, I = 22; 49.23°, I = 42



Entry 3:
Theoretical X-ray diffraction stick pattern
Compound: Ac4SbIr
Radiation: λ = 1.5418 Å (Cu Kα)
Structure: a structure optimized by DFT (PBE)

Structural model:
a = 7.3825 Å, b = 7.9479 Å, c = 9.1190 Å
α = 74.09°, β = 66.22°, γ = 89.96°
Atoms (fractional coordinates):
Ac 0.0201 0.4597 0.3113
Ac 0.1710 0.9590 0.3128
Ac 0.2714 0.8472 0.8344
Ac 0.3938 0.3477 0.8343
Ac 0.6062 0.6523 0.1657
Ac 0.7286 0.1528 0.1656
Ac 0.8290 0.0410 0.6872
Ac 0.9799 0.5403 0.6887
Sb 0.3246 0.2494 0.5007
Sb 0.6754 0.7506 0.4993
Ir 0.0000 0.5000 0.0000
Ir 0.5000 0.0000 0.0000

Most intense lines, 5 to 70 degrees two-theta, low angle first:
27.23°, I = 50; 27.73°, I = 80; 28.47°, I = 100; 30.54°, I = 30; 33.10°, I = 34; 33.39°, I = 27; 36.37°, I = 32; 43.68°, I = 39



Entry 4:
Theoretical X-ray diffraction stick pattern
Compound: NdHo3Ge2
Radiation: λ = 1.5418 Å (Cu Kα)
Structure: a structure optimized by DFT (PBE)

Structural model:
a = 8.8823 Å, b = 8.8823 Å, c = 9.2841 Å
α = 112.05°, β = 112.05°, γ = 28.18°
Atoms (fractional coordinates):
Nd 0.1148 0.1148 0.1346
Nd 0.8852 0.8852 0.8654
Ho 0.0491 0.0491 0.6944
Ho 0.3085 0.3085 0.1170
Ho 0.3494 0.3494 0.5183
Ho 0.6506 0.6506 0.4817
Ho 0.6915 0.6915 0.8830
Ho 0.9509 0.9509 0.3056
Ge 0.2376 0.2376 0.7107
Ge 0.4878 0.4878 0.1324
Ge 0.5122 0.5122 0.8676
Ge 0.7624 0.7624 0.2893

Most intense lines, 5 to 70 degrees two-theta, low angle first:
30.70°, I = 29; 31.28°, I = 36; 31.42°, I = 100; 33.25°, I = 68; 35.04°, I = 24; 36.30°, I = 84; 39.28°, I = 41; 41.77°, I = 42



Entry 5:
Theoretical X-ray diffraction stick pattern
Compound: Tl8SbPb3
Radiation: λ = 1.5418 Å (Cu Kα)
Structure: a structure optimized by DFT (PBE)

Structural model:
a = 6.0138 Å, b = 6.0138 Å, c = 11.8893 Å
α = 90.00°, β = 90.00°, γ = 120.00°
Atoms (fractional coordinates):
Tl 0.0000 0.3287 0.2525
Tl 0.0000 0.6713 0.7475
Tl 0.3287 0.0000 0.2525
Tl 0.3287 0.3287 0.7475
Tl 0.3333 0.6667 0.5000
Tl 0.6667 0.3333 0.5000
Tl 0.6713 0.0000 0.7475
Tl 0.6713 0.6713 0.2525
Sb 0.0000 0.0000 0.5000
Pb 0.0000 0.0000 0.0000
Pb 0.3333 0.6667 0.0000
Pb 0.6667 0.3333 0.0000

Most intense lines, 5 to 70 degrees two-theta, low angle first:
30.06°, I = 39; 30.67°, I = 45; 33.39°, I = 100; 37.55°, I = 26; 52.73°, I = 25; 55.54°, I = 24; 61.90°, I = 31; 63.86°, I = 16



Entry 6:
Theoretical X-ray diffraction stick pattern
Compound: Er2AlCu9
Radiation: λ = 1.5418 Å (Cu Kα)
Structure: a structure optimized by DFT (PBE)

Structural model:
a = 8.7373 Å, b = 8.7373 Å, c = 8.7373 Å
α = 33.44°, β = 33.44°, γ = 33.44°
Atoms (fractional coordinates):
Er 0.1356 0.1356 0.1356
Er 0.8644 0.8644 0.8644
Al 0.0000 0.0000 0.0000
Cu 0.0797 0.5830 0.5830
Cu 0.3330 0.3330 0.3330
Cu 0.4170 0.4170 0.9203
Cu 0.4170 0.9203 0.4170
Cu 0.5000 0.5000 0.5000
Cu 0.5830 0.0797 0.5830
Cu 0.5830 0.5830 0.0797
Cu 0.6670 0.6670 0.6670
Cu 0.9203 0.4170 0.4170

Most intense lines, 5 to 70 degrees two-theta, low angle first:
10.74°, I = 43; 32.64°, I = 40; 35.67°, I = 96; 41.64°, I = 40; 42.10°, I = 100; 44.10°, I = 37; 45.41°, I = 44; 45.52°, I = 52



Entry 7:
Theoretical X-ray diffraction stick pattern
Compound: Cs2Tl5Pb3
Radiation: λ = 1.5418 Å (Cu Kα)
Structure: a structure optimized by DFT (PBE)

Structural model:
a = 10.8242 Å, b = 10.8242 Å, c = 10.8242 Å
α = 106.53°, β = 88.17°, γ = 138.38°
Atoms (fractional coordinates):
Cs 0.1251 0.2502 0.3753
Cs 0.3749 0.7502 0.1252
Cs 0.6251 0.2498 0.8748
Cs 0.8749 0.7498 0.6247
Tl 0.0032 0.2500 0.7532
Tl 0.1243 0.6271 0.7514
Tl 0.2500 0.2500 0.0000
Tl 0.3757 0.1271 0.5028
Tl 0.4968 0.2500 0.2468
Tl 0.5032 0.7500 0.7532
Tl 0.6243 0.8729 0.4972
Tl 0.7500 0.7500 0.0000
Tl 0.8757 0.3729 0.2486
Tl 0.9968 0.7500 0.2468
Pb 0.1253 0.8684 0.9937
Pb 0.2500 0.7500 0.5000
Pb 0.3747 0.3684 0.7431
Pb 0.6253 0.6316 0.2569
Pb 0.7500 0.2500 0.5000
Pb 0.8747 0.1316 0.0063

Most intense lines, 5 to 70 degrees two-theta, low angle first:
13.68°, I = 27; 26.31°, I = 61; 26.75°, I = 59; 26.97°, I = 58; 32.75°, I = 100; 36.11°, I = 40; 36.27°, I = 40; 38.46°, I = 30



Entry 8:
Theoretical X-ray diffraction stick pattern
Compound: Nb2Pd2Pt7
Radiation: λ = 1.5418 Å (Cu Kα)
Structure: a structure optimized by DFT (PBE)

Structural model:
a = 5.3822 Å, b = 5.3822 Å, c = 7.2049 Å
α = 90.00°, β = 90.00°, γ = 90.78°
Atoms (fractional coordinates):
Nb 0.1996 0.1996 0.0000
Nb 0.8004 0.8004 0.0000
Pd 0.3283 0.6717 0.5000
Pd 0.6717 0.3283 0.5000
Pt 0.0000 0.0000 0.5000
Pt 0.0000 0.5000 0.2471
Pt 0.0000 0.5000 0.7529
Pt 0.5000 0.0000 0.2471
Pt 0.5000 0.0000 0.7529
Pt 0.5000 0.5000 0.1851
Pt 0.5000 0.5000 0.8149

Most intense lines, 5 to 70 degrees two-theta, low angle first:
29.85°, I = 34; 33.30°, I = 86; 34.16°, I = 42; 34.39°, I = 40; 41.91°, I = 100; 45.13°, I = 35; 47.46°, I = 30; 48.15°, I = 36